Record 1
Simulated PXRD pattern of Pm12Ho5Th2 for Cu Ka, from DFT lattice parameters and positions (PBE).
Kinematic intensities with the Lorentz-polarization factor, no thermal factor.

Top 10 peaks for 2θ = 10–90°, most intense first:
30.73°, d 2.909, rel. 100
34.39°, d 2.607, rel. 18
34.91°, d 2.570, rel. 15
37.52°, d 2.397, rel. 14
59.34°, d 1.557, rel. 12
30.52°, d 2.929, rel. 11
49.86°, d 1.829, rel. 9
52.19°, d 1.753, rel. 8
51.81°, d 1.765, rel. 7
59.98°, d 1.542, rel. 6

Cell and atoms:
Lattice parameters (Å, degrees): 9.441 9.441 8.239 90.34 90.34 61.03
Element x y z (fractional)
Pm 0.048 0.048 0.217
Pm 0.098 0.532 0.717
Pm 0.116 0.669 0.119
Pm 0.331 0.884 0.881
Pm 0.339 0.339 0.375
Pm 0.468 0.902 0.283
Pm 0.532 0.098 0.717
Pm 0.661 0.661 0.625
Pm 0.669 0.116 0.119
Pm 0.884 0.331 0.881
Pm 0.902 0.468 0.283
Pm 0.952 0.952 0.783
Ho 0.144 0.144 0.567
Ho 0.250 0.250 0.027
Ho 0.500 0.500 0.000
Ho 0.750 0.750 0.973
Ho 0.856 0.856 0.433
Th 0.281 0.719 0.500
Th 0.719 0.281 0.500

Record 2
Simulated PXRD pattern of Pm4Ho3Th2 for Cu Ka, from DFT lattice parameters and positions (PBE).
Kinematic intensities with the Lorentz-polarization factor, no thermal factor.

Top 10 peaks for 2θ = 10–90°, most intense first:
31.95°, d 2.801, rel. 100
30.50°, d 2.931, rel. 60
29.92°, d 2.986, rel. 59
30.22°, d 2.958, rel. 54
36.98°, d 2.431, rel. 37
37.46°, d 2.401, rel. 29
54.95°, d 1.671, rel. 22
54.78°, d 1.676, rel. 17
48.86°, d 1.864, rel. 16
50.45°, d 1.809, rel. 14

Cell and atoms:
Lattice parameters (Å, degrees): 10.061 10.061 6.183 96.18 96.18 72.03
Element x y z (fractional)
Pm 0.088 0.812 0.983
Pm 0.151 0.417 0.153
Pm 0.188 0.912 0.517
Pm 0.417 0.151 0.653
Pm 0.583 0.849 0.347
Pm 0.812 0.088 0.483
Pm 0.849 0.583 0.847
Pm 0.912 0.188 0.017
Ho 0.059 0.279 0.582
Ho 0.279 0.059 0.082
Ho 0.393 0.607 0.250
Ho 0.607 0.393 0.750
Ho 0.721 0.941 0.918
Ho 0.941 0.721 0.418
Th 0.253 0.528 0.689
Th 0.472 0.747 0.811
Th 0.528 0.253 0.189
Th 0.747 0.472 0.311

Record 3
Simulated PXRD pattern of Pm5Ho5Th2 for Cu Ka, from DFT lattice parameters and positions (PBE).
Kinematic intensities with the Lorentz-polarization factor, no thermal factor.

Top 10 peaks for 2θ = 10–90°, most intense first:
30.45°, d 2.935, rel. 100
30.57°, d 2.924, rel. 99
35.34°, d 2.540, rel. 68
50.97°, d 1.792, rel. 48
35.45°, d 2.532, rel. 33
60.59°, d 1.528, rel. 29
60.40°, d 1.533, rel. 22
60.50°, d 1.530, rel. 14
60.69°, d 1.526, rel. 14
63.38°, d 1.468, rel. 12

Cell and atoms:
Lattice parameters (Å, degrees): 6.198 8.017 8.800 111.12 90.13 104.91
Element x y z (fractional)
Pm 0.000 0.000 0.000
Pm 0.083 0.744 0.582
Pm 0.250 0.256 0.753
Pm 0.750 0.744 0.247
Pm 0.917 0.256 0.418
Ho 0.334 0.996 0.331
Ho 0.413 0.747 0.917
Ho 0.500 0.500 0.500
Ho 0.587 0.253 0.083
Ho 0.666 0.004 0.669
Th 0.164 0.502 0.164
Th 0.836 0.498 0.836

Record 4
Simulated PXRD pattern of Pm6Ho4Th for Cu Ka, from DFT lattice parameters and positions (PBE).
Kinematic intensities with the Lorentz-polarization factor, no thermal factor.

Top 10 peaks for 2θ = 10–90°, most intense first:
30.51°, d 2.930, rel. 100
31.67°, d 2.826, rel. 54
30.09°, d 2.970, rel. 51
31.86°, d 2.809, rel. 46
33.02°, d 2.712, rel. 41
43.69°, d 2.072, rel. 32
55.88°, d 1.645, rel. 16
27.71°, d 3.219, rel. 15
54.99°, d 1.670, rel. 11
55.12°, d 1.666, rel. 10

Cell and atoms:
Lattice parameters (Å, degrees): 5.656 5.656 25.811 90.00 90.00 117.65
Element x y z (fractional)
Pm 0.000 0.000 0.000
Pm 0.000 0.000 0.500
Pm 0.055 0.945 0.750
Pm 0.296 0.704 0.100
Pm 0.296 0.704 0.400
Pm 0.383 0.617 0.681
Pm 0.383 0.617 0.819
Pm 0.617 0.383 0.181
Pm 0.617 0.383 0.319
Pm 0.704 0.296 0.600
Pm 0.704 0.296 0.900
Pm 0.945 0.055 0.250
Ho 0.049 0.951 0.623
Ho 0.049 0.951 0.877
Ho 0.350 0.650 0.542
Ho 0.350 0.650 0.958
Ho 0.650 0.350 0.042
Ho 0.650 0.350 0.458
Ho 0.951 0.049 0.123
Ho 0.951 0.049 0.377
Th 0.286 0.714 0.250
Th 0.714 0.286 0.750

Record 5
Simulated PXRD pattern of PmHo10Th4 for Cu Ka, from DFT lattice parameters and positions (PBE).
Kinematic intensities with the Lorentz-polarization factor, no thermal factor.

Top 10 peaks for 2θ = 10–90°, most intense first:
32.49°, d 2.756, rel. 100
29.30°, d 3.048, rel. 87
29.01°, d 3.078, rel. 84
33.81°, d 2.651, rel. 75
26.54°, d 3.359, rel. 68
34.57°, d 2.594, rel. 55
45.33°, d 2.000, rel. 42
59.85°, d 1.545, rel. 38
12.99°, d 6.816, rel. 28
54.59°, d 1.681, rel. 28

Cell and atoms:
Lattice parameters (Å, degrees): 8.680 8.680 8.680 112.55 112.55 103.48
Element x y z (fractional)
Pm 0.000 0.000 0.000
Ho 0.130 0.459 0.903
Ho 0.227 0.130 0.672
Ho 0.250 0.750 0.500
Ho 0.445 0.773 0.903
Ho 0.459 0.555 0.328
Ho 0.541 0.445 0.672
Ho 0.555 0.227 0.097
Ho 0.750 0.250 0.500
Ho 0.773 0.870 0.328
Ho 0.870 0.541 0.097
Th 0.065 0.339 0.404
Th 0.339 0.935 0.273
Th 0.661 0.065 0.727
Th 0.935 0.661 0.596

Record 6
Simulated PXRD pattern of PmHo5Th3 for Cu Ka, from DFT lattice parameters and positions (PBE).
Kinematic intensities with the Lorentz-polarization factor, no thermal factor.

Top 10 peaks for 2θ = 10–90°, most intense first:
30.75°, d 2.908, rel. 100
29.22°, d 3.056, rel. 85
21.61°, d 4.112, rel. 60
27.37°, d 3.259, rel. 53
31.30°, d 2.857, rel. 52
33.55°, d 2.671, rel. 40
36.30°, d 2.475, rel. 30
34.12°, d 2.628, rel. 27
37.89°, d 2.374, rel. 27
33.11°, d 2.706, rel. 25

Cell and atoms:
Lattice parameters (Å, degrees): 7.507 7.507 12.309 95.03 95.03 66.43
Element x y z (fractional)
Pm 0.139 0.139 0.267
Pm 0.861 0.861 0.733
Ho 0.061 0.672 0.225
Ho 0.256 0.256 0.022
Ho 0.328 0.672 0.000
Ho 0.328 0.939 0.775
Ho 0.445 0.445 0.378
Ho 0.555 0.555 0.622
Ho 0.672 0.061 0.225
Ho 0.672 0.328 0.000
Ho 0.744 0.744 0.978
Ho 0.939 0.328 0.775
Th 0.000 0.000 0.000
Th 0.000 0.000 0.500
Th 0.261 0.261 0.546
Th 0.376 0.376 0.784
Th 0.624 0.624 0.216
Th 0.739 0.739 0.454